Simulated PXRD pattern of NaY for Cu Ka, from DFT lattice parameters and positions (PBE).

Peak list (8 most intense, 10° ≤ 2θ ≤ 90°, in order of falling intensity)
2θ (°)	Rel. int.	(hkl)
32.15	100	1 1 1
14.22	61	0 0 1
28.67	56	0 0 2
31.20	27	0 2 0
53.02	23	1 1 3
42.88	22	0 2 2
56.13	19	1 3 1
41.00	17	1 1 2

Atomic structure:
Lattice parameters (Å, degrees): 3.705 5.733 6.229 90.00 90.00 90.00
Fractional positions:
Na (0.000, 0.000, 0.000)
Na (0.500, 0.500, 0.000)
Y (0.000, 0.500, 0.500)
Y (0.500, 0.000, 0.500)